Record 1
The following is a simulated X-ray diffraction stick pattern of ZnS. It was derived from the GGA-PBE geometry in the Materials Project, using Cu Kα (weighted mean of Kα1 and Kα2).
Neutral-atom scattering factors, no anomalous dispersion.

Structural model:
```
data_ZnS
_symmetry_space_group_name_H-M 'P 3 m 1'
_symmetry_Int_Tables_number 156
_symmetry_space_group_name_Hall 'P 3 -2"'
_cell_length_a 3.8540
_cell_length_b 3.8540
_cell_length_c 56.6897
_cell_angle_alpha 90.00
_cell_angle_beta 90.00
_cell_angle_gamma 120.00
loop_
_atom_site_label
_atom_site_fract_x
_atom_site_fract_y
_atom_site_fract_z
_atom_site_occupancy
Zn1 0.0000 0.0000 0.0000 1
Zn2 0.0000 0.0000 0.1111 1
Zn3 0.0000 0.0000 0.3333 1
Zn4 0.0000 0.0000 0.4445 1
Zn5 0.0000 0.0000 0.6111 1
Zn6 0.0000 0.0000 0.7778 1
Zn7 0.3333 0.6667 0.1667 1
Zn8 0.3333 0.6667 0.2778 1
Zn9 0.3333 0.6667 0.5000 1
Zn10 0.3333 0.6667 0.6667 1
Zn11 0.3333 0.6667 0.8333 1
Zn12 0.3333 0.6667 0.9445 1
Zn13 0.6667 0.3333 0.0556 1
Zn14 0.6667 0.3333 0.2222 1
Zn15 0.6667 0.3333 0.3889 1
Zn16 0.6667 0.3333 0.5556 1
Zn17 0.6667 0.3333 0.7222 1
Zn18 0.6667 0.3333 0.8889 1
S1 0.0000 0.0000 0.0416 1
S2 0.0000 0.0000 0.1528 1
S3 0.0000 0.0000 0.3750 1
S4 0.0000 0.0000 0.4861 1
S5 0.0000 0.0000 0.6528 1
S6 0.0000 0.0000 0.8195 1
S7 0.3333 0.6667 0.2083 1
S8 0.3333 0.6667 0.3194 1
S9 0.3333 0.6667 0.5417 1
S10 0.3333 0.6667 0.7083 1
S11 0.3333 0.6667 0.8750 1
S12 0.3333 0.6667 0.9861 1
S13 0.6667 0.3333 0.0973 1
S14 0.6667 0.3333 0.2639 1
S15 0.6667 0.3333 0.4306 1
S16 0.6667 0.3333 0.5972 1
S17 0.6667 0.3333 0.7639 1
S18 0.6667 0.3333 0.9306 1
```

Peak list (12 most intense, 10 to 90 degrees two-theta, most intense first)
d/Å  intensity  hkl
3.148  100  0 0 18
1.927  71  1 1 0
1.644  48  1 1 18
1.113  19  3 0 0
3.287  15  1 0 3
1.251  13  0 1 42
2.949  13  1 0 9
2.726  10  1 0 12
1.777  9  1 0 27
1.363  8  2 0 24
3.202  6  1 0 5
3.086  6  1 0 7



Record 2
The following is a simulated X-ray diffraction stick pattern of ZnS. It was derived from the GGA-PBE geometry in the Materials Project, using Cu Kα (weighted mean of Kα1 and Kα2).
Neutral-atom scattering factors, no anomalous dispersion.

Structural model:
```
data_ZnS
_symmetry_space_group_name_H-M 'P 3 m 1'
_symmetry_Int_Tables_number 156
_symmetry_space_group_name_Hall 'P 3 -2"'
_cell_length_a 3.8531
_cell_length_b 3.8531
_cell_length_c 75.5641
_cell_angle_alpha 90.00
_cell_angle_beta 90.00
_cell_angle_gamma 120.00
loop_
_atom_site_label
_atom_site_fract_x
_atom_site_fract_y
_atom_site_fract_z
_atom_site_occupancy
Zn1 0.0000 0.0000 0.0000 1
Zn2 0.0000 0.0000 0.1250 1
Zn3 0.0000 0.0000 0.2083 1
Zn4 0.0000 0.0000 0.2917 1
Zn5 0.0000 0.0000 0.3750 1
Zn6 0.0000 0.0000 0.5000 1
Zn7 0.0000 0.0000 0.6250 1
Zn8 0.0000 0.0000 0.7500 1
Zn9 0.0000 0.0000 0.8750 1
Zn10 0.3333 0.6667 0.0833 1
Zn11 0.3333 0.6667 0.2500 1
Zn12 0.3333 0.6667 0.4167 1
Zn13 0.3333 0.6667 0.5417 1
Zn14 0.3333 0.6667 0.6667 1
Zn15 0.3333 0.6667 0.7917 1
Zn16 0.3333 0.6667 0.9167 1
Zn17 0.6667 0.3333 0.0417 1
Zn18 0.6667 0.3333 0.1667 1
Zn19 0.6667 0.3333 0.3333 1
Zn20 0.6667 0.3333 0.4583 1
Zn21 0.6667 0.3333 0.5833 1
Zn22 0.6667 0.3333 0.7083 1
Zn23 0.6667 0.3333 0.8333 1
Zn24 0.6667 0.3333 0.9583 1
S1 0.0000 0.0000 0.0313 1
S2 0.0000 0.0000 0.1562 1
S3 0.0000 0.0000 0.2396 1
S4 0.0000 0.0000 0.3229 1
S5 0.0000 0.0000 0.4062 1
S6 0.0000 0.0000 0.5312 1
S7 0.0000 0.0000 0.6562 1
S8 0.0000 0.0000 0.7812 1
S9 0.0000 0.0000 0.9062 1
S10 0.3333 0.6667 0.1146 1
S11 0.3333 0.6667 0.2813 1
S12 0.3333 0.6667 0.4479 1
S13 0.3333 0.6667 0.5729 1
S14 0.3333 0.6667 0.6979 1
S15 0.3333 0.6667 0.8229 1
S16 0.3333 0.6667 0.9479 1
S17 0.6667 0.3333 0.0729 1
S18 0.6667 0.3333 0.1979 1
S19 0.6667 0.3333 0.3646 1
S20 0.6667 0.3333 0.4896 1
S21 0.6667 0.3333 0.6146 1
S22 0.6667 0.3333 0.7396 1
S23 0.6667 0.3333 0.8646 1
S24 0.6667 0.3333 0.9896 1
```

Peak list (12 most intense, 10 to 90 degrees two-theta, most intense first)
d/Å  intensity  hkl
3.147  100  0 0 24
1.927  77  1 1 0
1.643  51  1 1 24
3.188  23  0 1 7
1.113  19  3 0 0
3.226  13  1 0 6
3.101  13  0 1 9
1.250  12  1 2 8
2.725  9  1 0 16
1.968  8  0 1 31
1.363  7  2 0 32
3.052  7  1 0 10